[1]
Th2TlRu: simulated powder XRD pattern (Cu Kα (λ = 1.5418 Å)), based on a DFT-relaxed cell (PBE, Alexandria).
Neutral-atom scattering factors, no anomalous dispersion.

Principal peaks in the range 10 to 80 degrees two-theta, by intensity:
31.1 deg, d = 2.877 Å, I 100
44.9 deg, d = 2.020 Å, I 46
29.2 deg, d = 3.061 Å, I 45
56.1 deg, d = 1.640 Å, I 23
44.2 deg, d = 2.049 Å, I 20
55.6 deg, d = 1.653 Å, I 20
25.7 deg, d = 3.466 Å, I 18
31.9 deg, d = 2.808 Å, I 18
74.1 deg, d = 1.279 Å, I 17
26.4 deg, d = 3.372 Å, I 14
35.7 deg, d = 2.512 Å, I 14
54.0 deg, d = 1.699 Å, I 11

```
data_Th2TlRu
_chemical_formula_sum 'Th2 Tl1 Ru1'
_cell_length_a 8.741
_cell_length_b 8.741
_cell_length_c 8.741
_cell_angle_alpha 26.72
_cell_angle_beta 26.72
_cell_angle_gamma 26.72
_space_group_name_H-M_alt 'P 1'
_space_group_IT_number 1
_space_group_name_Hall 'P 1'
loop_
_atom_site_label
_atom_site_type_symbol
_atom_site_fract_x
_atom_site_fract_y
_atom_site_fract_z
Th1 Th 0.000 0.000 0.000
Th2 Th 0.209 0.209 0.209
Tl1 Tl 0.436 0.436 0.436
Ru1 Ru 0.605 0.605 0.605
```

=====

[2]
Tm2ThRu2: simulated powder XRD pattern (Cu Kα (λ = 1.5418 Å)), based on a DFT-relaxed cell (PBE, Alexandria).
Neutral-atom scattering factors, no anomalous dispersion.

Principal peaks in the range 10 to 80 degrees two-theta, by intensity:
38.0 deg, d = 2.367 Å, I 100
34.7 deg, d = 2.589 Å, I 95
35.7 deg, d = 2.516 Å, I 77
37.0 deg, d = 2.428 Å, I 71
34.2 deg, d = 2.622 Å, I 71
29.5 deg, d = 3.033 Å, I 57
30.7 deg, d = 2.915 Å, I 46
53.9 deg, d = 1.702 Å, I 41
29.8 deg, d = 2.998 Å, I 37
38.2 deg, d = 2.357 Å, I 37
26.6 deg, d = 3.355 Å, I 34
41.1 deg, d = 2.195 Å, I 30

```
data_Tm2ThRu2
_chemical_formula_sum 'Tm8 Th4 Ru8'
_cell_length_a 10.086
_cell_length_b 6.681
_cell_length_c 7.083
_cell_angle_alpha 90.00
_cell_angle_beta 93.70
_cell_angle_gamma 90.00
_space_group_name_H-M_alt 'P 1'
_space_group_IT_number 1
_space_group_name_Hall 'P 1'
loop_
_atom_site_label
_atom_site_type_symbol
_atom_site_fract_x
_atom_site_fract_y
_atom_site_fract_z
Tm1 Tm 0.015 0.241 0.432
Tm2 Tm 0.015 0.259 0.932
Tm3 Tm 0.291 0.675 0.889
Tm4 Tm 0.291 0.825 0.389
Tm5 Tm 0.709 0.175 0.611
Tm6 Tm 0.709 0.325 0.111
Tm7 Tm 0.985 0.741 0.068
Tm8 Tm 0.985 0.759 0.568
Th1 Th 0.359 0.182 0.006
Th2 Th 0.359 0.318 0.506
Th3 Th 0.641 0.682 0.494
Th4 Th 0.641 0.818 0.994
Ru1 Ru 0.180 0.025 0.714
Ru2 Ru 0.180 0.475 0.214
Ru3 Ru 0.483 0.551 0.211
Ru4 Ru 0.483 0.949 0.711
Ru5 Ru 0.517 0.051 0.289
Ru6 Ru 0.517 0.449 0.789
Ru7 Ru 0.820 0.525 0.786
Ru8 Ru 0.820 0.975 0.286
```

=====

[3]
Tm3ThRu3: simulated powder XRD pattern (Cu Kα (λ = 1.5418 Å)), based on a DFT-relaxed cell (PBE, Alexandria).
Neutral-atom scattering factors, no anomalous dispersion.

Principal peaks in the range 10 to 80 degrees two-theta, by intensity:
38.1 deg, d = 2.361 Å, I 100
37.4 deg, d = 2.405 Å, I 98
32.6 deg, d = 2.743 Å, I 68
32.0 deg, d = 2.794 Å, I 38
58.1 deg, d = 1.587 Å, I 35
26.5 deg, d = 3.370 Å, I 33
32.8 deg, d = 2.727 Å, I 28
57.5 deg, d = 1.603 Å, I 19
54.5 deg, d = 1.685 Å, I 19
42.7 deg, d = 2.120 Å, I 18
68.4 deg, d = 1.372 Å, I 17
65.4 deg, d = 1.426 Å, I 15

```
data_Tm3ThRu3
_chemical_formula_sum 'Tm3 Th1 Ru3'
_cell_length_a 5.802
_cell_length_b 5.802
_cell_length_c 5.802
_cell_angle_alpha 108.97
_cell_angle_beta 108.97
_cell_angle_gamma 108.97
_space_group_name_H-M_alt 'P 1'
_space_group_IT_number 1
_space_group_name_Hall 'P 1'
loop_
_atom_site_label
_atom_site_type_symbol
_atom_site_fract_x
_atom_site_fract_y
_atom_site_fract_z
Tm1 Tm 0.197 0.197 0.606
Tm2 Tm 0.197 0.606 0.197
Tm3 Tm 0.606 0.197 0.197
Th1 Th 0.787 0.787 0.787
Ru1 Ru 0.192 0.700 0.700
Ru2 Ru 0.700 0.192 0.700
Ru3 Ru 0.700 0.700 0.192
```